No. 1
Simulated powder diffraction line list of TmNb4N6 for copper Kα, from a DFT-relaxed cell (PBE, Alexandria).
Neutral-atom scattering factors, no anomalous dispersion.

Atomic structure:
```
TmNb4N6
1.0
1.564 -5.148 0.000
1.564 5.148 0.000
0.000 0.000 15.716
Tm Nb N
2 8 12
Direct
0.154 0.846 0.750 Tm
0.846 0.154 0.250 Tm
0.101 0.899 0.132 Nb
0.101 0.899 0.368 Nb
0.354 0.646 0.042 Nb
0.354 0.646 0.458 Nb
0.646 0.354 0.542 Nb
0.646 0.354 0.958 Nb
0.899 0.101 0.632 Nb
0.899 0.101 0.868 Nb
0.000 0.000 0.000 N
0.000 0.000 0.500 N
0.177 0.823 0.250 N
0.265 0.735 0.594 N
0.265 0.735 0.906 N
0.461 0.539 0.161 N
0.461 0.539 0.339 N
0.539 0.461 0.661 N
0.539 0.461 0.839 N
0.735 0.265 0.094 N
0.735 0.265 0.406 N
0.823 0.177 0.750 N
```

Largest 8 diffraction maxima, low angle first, 10° ≤ 2θ ≤ 90°:
d_spacing  2theta  I_rel
2.797  32.00  374
2.683  33.40  1000
2.598  34.52  649
2.574  34.85  321
2.218  40.68  685
2.115  42.75  241
1.572  58.72  220
1.351  69.59  237

***

No. 2
Simulated powder diffraction line list of CrCuOs for copper Kα, from a DFT-relaxed cell (PBE, Alexandria).
Neutral-atom scattering factors, no anomalous dispersion.

Atomic structure:
```
CrCuOs
1.0
2.648 0.000 0.000
0.000 3.729 0.000
0.000 0.000 7.739
Cr Cu Os
2 2 2
Direct
0.000 0.000 0.000 Cr
0.500 0.500 0.500 Cr
0.000 0.000 0.668 Cu
0.500 0.500 0.168 Cu
0.000 0.000 0.336 Os
0.500 0.500 0.836 Os
```

Largest 8 diffraction maxima, low angle first, 10° ≤ 2θ ≤ 90°:
d_spacing  2theta  I_rel
3.870  22.98  383
3.359  26.53  538
2.506  35.84  253
2.159  41.84  1000
2.122  42.62  948
1.864  48.85  316
1.848  49.31  614
1.312  71.94  384

***

No. 3
Simulated powder diffraction line list of PrAlF for copper Kα, from a DFT-relaxed cell (PBE, Alexandria).
Neutral-atom scattering factors, no anomalous dispersion.

Atomic structure:
```
PrAlF
1.0
3.430 0.000 0.000
0.000 3.430 0.000
0.000 0.000 9.636
Pr Al F
2 2 2
Direct
0.250 0.250 0.194 Pr
0.750 0.750 0.806 Pr
0.250 0.250 0.573 Al
0.750 0.750 0.427 Al
0.250 0.250 0.930 F
0.750 0.750 0.070 F
```

Largest 8 diffraction maxima, low angle first, 10° ≤ 2θ ≤ 90°:
d_spacing  2theta  I_rel
4.818  18.41  316
3.231  27.60  1000
3.212  27.77  296
2.794  32.03  511
2.425  37.07  644
2.345  38.39  442
1.971  46.04  343
1.514  61.21  350

***

No. 4
Simulated powder diffraction line list of TcRuW for copper Kα, from a DFT-relaxed cell (PBE, Alexandria).
Neutral-atom scattering factors, no anomalous dispersion.

Atomic structure:
```
TcRuW
1.0
4.802 0.000 0.000
-2.401 4.159 0.000
0.000 0.000 6.742
Tc Ru W
3 3 3
Direct
0.215 0.430 0.333 Tc
0.215 0.785 0.667 Tc
0.570 0.785 0.000 Tc
0.228 0.114 0.000 Ru
0.886 0.114 0.667 Ru
0.886 0.772 0.333 Ru
0.544 0.088 0.333 W
0.544 0.456 0.667 W
0.912 0.456 0.000 W
```

Largest 8 diffraction maxima, low angle first, 10° ≤ 2θ ≤ 90°:
d_spacing  2theta  I_rel
2.262  39.85  1000
2.247  40.12  330
1.956  46.43  645
1.386  67.57  199
1.380  67.95  205
1.182  81.42  119
1.180  81.60  236
1.176  81.95  122

***

No. 5
Simulated powder diffraction line list of Sn2Te2Pd7Pt for copper Kα, from a DFT-relaxed cell (PBE, Alexandria).
Neutral-atom scattering factors, no anomalous dispersion.

Atomic structure:
```
Sn2Te2Pd7Pt
1.0
2.793 -2.792 0.000
2.793 2.792 0.000
-2.713 0.000 15.839
Sn Te Pd Pt
2 2 7 1
Direct
0.117 0.117 0.241 Sn
0.883 0.883 0.759 Sn
0.291 0.291 0.581 Te
0.709 0.709 0.419 Te
0.000 0.000 0.000 Pd
0.062 0.562 0.128 Pd
0.203 0.203 0.408 Pd
0.438 0.938 0.872 Pd
0.562 0.062 0.128 Pd
0.797 0.797 0.592 Pd
0.938 0.438 0.872 Pd
0.500 0.500 0.000 Pt
```

Largest 8 diffraction maxima, low angle first, 10° ≤ 2θ ≤ 90°:
d_spacing  2theta  I_rel
7.920  11.17  539
2.792  32.05  431
2.750  32.56  374
2.470  36.37  508
2.280  39.52  566
2.095  43.19  648
1.974  45.96  1000
1.396  67.04  417

***

No. 6
Simulated powder diffraction line list of SnH7C2SeClO3 for copper Kα, from a DFT-relaxed cell (PBE, Alexandria).
Neutral-atom scattering factors, no anomalous dispersion.

Atomic structure:
```
SnH7C2SeClO3
1.0
7.123 0.000 0.000
1.729 7.618 0.000
0.752 2.673 7.477
Sn H C Se Cl O
2 14 4 2 2 6
Direct
0.219 0.082 0.329 Sn
0.781 0.918 0.671 Sn
0.032 0.393 0.389 H
0.176 0.770 0.285 H
0.226 0.278 0.544 H
0.277 0.412 0.317 H
0.283 0.500 0.875 H
0.356 0.712 0.450 H
0.417 0.809 0.217 H
0.583 0.191 0.783 H
0.644 0.288 0.550 H
0.717 0.500 0.125 H
0.723 0.588 0.683 H
0.774 0.722 0.456 H
0.824 0.230 0.715 H
0.968 0.607 0.611 H
0.183 0.323 0.405 C
0.303 0.807 0.319 C
0.697 0.193 0.681 C
0.817 0.677 0.595 C
0.271 0.820 0.817 Se
0.729 0.180 0.183 Se
0.167 0.246 0.996 Cl
0.833 0.754 0.004 Cl
0.099 0.921 0.651 O
0.358 0.592 0.796 O
0.451 0.921 0.705 O
0.549 0.079 0.295 O
0.642 0.408 0.204 O
0.901 0.079 0.349 O
```

Largest 8 diffraction maxima, low angle first, 10° ≤ 2θ ≤ 90°:
d_spacing  2theta  I_rel
7.173  12.34  861
6.354  13.94  1000
3.766  23.63  428
3.473  25.65  320
3.407  26.15  281
3.318  26.87  287
2.822  31.71  182
2.773  32.29  189